No. 1
Simulated X-ray diffraction stick pattern of LiAg for Cu Kα, 1.54184 Å, from a DFT-relaxed cell (PBE, Alexandria).

Top 10 peaks for 15° ≤ 2θ ≤ 90°, in order of rising 2θ:
- d 3.594, intensity 78, (1 1 0)
- d 2.934, intensity 42, (1 1 1)
- d 2.273, intensity 100, (2 0 1)
- d 2.075, intensity 39, (2 1 1)
- d 1.607, intensity 19, (3 1 0)
- d 1.532, intensity 10, (3 1 1)
- d 1.467, intensity 12, (2 2 2)
- d 1.410, intensity 18, (3 0 2)
- d 1.358, intensity 25, (3 2 1)
- d 1.109, intensity 14, (4 1 2)

Cell: 5.0824 5.0824 5.0824 Å, 90.00 90.00 90.00°
Space group P2_13 (No. 198)
Inequivalent atoms, fractional coordinates:
1 Li 0.0926 0.0926 0.0926 [4 per cell]
2 Ag 0.1016 0.6016 0.8984 [4 per cell]

---

No. 2
Simulated X-ray diffraction stick pattern of YMgCr2 for Cu Kα, 1.54184 Å, from a DFT-relaxed cell (PBE, Alexandria).

Top 10 peaks for 15° ≤ 2θ ≤ 90°, in order of rising 2θ:
- d 3.843, intensity 13, (0 0 2)
- d 2.921, intensity 23, (1 0 1)
- d 2.562, intensity 19, (0 0 3)
- d 2.440, intensity 100, (1 0 2)
- d 2.233, intensity 57, (1 1 0)
- d 1.990, intensity 17, (1 0 3)
- d 1.683, intensity 21, (1 1 3)
- d 1.579, intensity 18, (2 0 0)
- d 1.382, intensity 17, (1 0 5)
- d 1.326, intensity 26, (2 1 2)

Cell: 3.1578 3.1578 7.6864 Å, 90.00 90.00 90.00°
Space group P4mm (No. 99)
Inequivalent atoms, fractional coordinates:
1 Y 0.0000 0.0000 0.0000 [1 per cell]
2 Mg 0.5000 0.5000 0.6623 [1 per cell]
3 Cr 0.0000 0.0000 0.4141 [1 per cell]
4 Cr 0.5000 0.5000 0.2831 [1 per cell]

---

No. 3
Simulated X-ray diffraction stick pattern of ErPa4Se5 for Cu Kα, 1.54184 Å, from a DFT-relaxed cell (PBE, Alexandria).

Top 10 peaks for 15° ≤ 2θ ≤ 90°, in order of rising 2θ:
- d 3.515, intensity 11, (0 0 15)
- d 3.249, intensity 28, (0 1 5)
- d 2.867, intensity 100, (1 0 10)
- d 2.087, intensity 41, (0 1 20)
- d 1.972, intensity 35, (1 1 0)
- d 1.625, intensity 19, (0 2 10)
- d 1.433, intensity 12, (2 0 20)
- d 1.312, intensity 18, (1 1 30)
- d 1.254, intensity 16, (2 1 10)
- d 1.159, intensity 13, (1 2 20)

Cell: 3.9438 3.9438 52.7295 Å, 90.00 90.00 120.00°
Space group R-3m (No. 166, hexagonal axes)
Inequivalent atoms, fractional coordinates:
1 Er 0.0000 0.0000 0.0000 [3 per cell]
2 Pa 0.0000 0.0000 0.2000 [6 per cell]
3 Pa 0.0000 0.0000 0.4000 [6 per cell]
4 Se 0.0000 0.0000 0.1000 [6 per cell]
5 Se 0.0000 0.0000 0.3014 [6 per cell]
6 Se 0.0000 0.0000 0.5000 [3 per cell]

---

No. 4
Simulated X-ray diffraction stick pattern of Rb2PuIO6 for Cu Kα, 1.54184 Å, from a DFT-relaxed cell (PBE, Alexandria).

Top 10 peaks for 15° ≤ 2θ ≤ 90°, in order of rising 2θ:
- d 5.251, intensity 16, (0 0 2)
- d 5.182, intensity 16, (1 0 1)
- d 4.213, intensity 17, (1 1 0)
- d 3.286, intensity 100, (1 1 2)
- d 2.979, intensity 37, (2 0 0)
- d 2.625, intensity 18, (0 0 4)
- d 2.107, intensity 22, (2 2 0)
- d 1.970, intensity 20, (2 0 4)
- d 1.774, intensity 35, (3 1 2)
- d 1.643, intensity 17, (2 2 4)

Cell: 5.9585 5.9585 10.5020 Å, 90.00 90.00 90.00°
Space group I4/mmm (No. 139)
Inequivalent atoms, fractional coordinates:
1 Rb 0.0000 0.5000 0.2500 [4 per cell]
2 Pu 0.0000 0.0000 0.0000 [2 per cell]
3 I 0.0000 0.0000 0.5000 [2 per cell]
4 O 0.0000 0.0000 0.1782 [4 per cell]
5 O 0.2483 0.2483 0.5000 [8 per cell]

---

No. 5
Simulated X-ray diffraction stick pattern of Ba4PdI5 for Cu Kα, 1.54184 Å, from a DFT-relaxed cell (PBE, Alexandria).

Top 10 peaks for 15° ≤ 2θ ≤ 90°, in order of rising 2θ:
- d 3.526, intensity 71, (0 3 1)
- d 3.094, intensity 29, (2 4 0)
- d 3.023, intensity 100, (3 0 1)
- d 2.994, intensity 83, (3 3 0)
- d 2.883, intensity 36, (1 4 1)
- d 2.830, intensity 16, (4 0 0)
- d 2.525, intensity 38, (0 0 2)
- d 1.931, intensity 18, (3 3 2)
- d 1.594, intensity 19, (0 3 3)
- d 1.537, intensity 16, (3 0 3)

Cell: 11.3208 14.7768 5.0496 Å, 90.00 90.00 90.00°
Space group Pmmn (No. 59, origin choice 2)
Inequivalent atoms, fractional coordinates:
1 Ba 0.0575 0.2500 0.2498 [4 per cell]
2 Ba 0.2500 0.0008 0.7496 [4 per cell]
3 Pd 0.2500 0.2500 0.7487 [2 per cell]
4 I 0.0487 0.5937 0.2497 [8 per cell]
5 I 0.2500 0.7500 0.7493 [2 per cell]